Structure and simulated PXRD pattern of Cs2TaTc3O12 (a crystal structure in Alexandria, relaxed with PBE; Cu Ka).

Peak list (10 most intense, 10° ≤ 2θ ≤ 90°, in order of falling intensity)
2θ (°)  I (rel.)
28.51  100
28.24  53
29.89  48
24.37  32
49.93  31
49.27  31
45.52  31
14.82  26
28.64  24
58.37  23

Cell and atoms:
a b c (Å): 7.3996 7.3996 7.3996
angles (deg): 59.17 59.17 59.17
Fractional positions:
Cs 0.1236 0.1236 0.1236
Cs 0.8764 0.8764 0.8764
Ta 0.5000 0.5000 0.5000
Tc 0.0000 0.5000 0.5000
Tc 0.5000 0.0000 0.5000
Tc 0.5000 0.5000 0.0000
O 0.1801 0.5649 0.5649
O 0.1931 0.1931 0.5652
O 0.1931 0.5652 0.1931
O 0.4351 0.4351 0.8199
O 0.4348 0.8069 0.8069
O 0.4351 0.8199 0.4351
O 0.5649 0.1801 0.5649
O 0.5652 0.1931 0.1931
O 0.5649 0.5649 0.1801
O 0.8069 0.4348 0.8069
O 0.8069 0.8069 0.4348
O 0.8199 0.4351 0.4351

***

Structure and simulated PXRD pattern of NaCeZn4 (a crystal structure in Alexandria, relaxed with PBE; Cu Ka).

Peak list (10 most intense, 10° ≤ 2θ ≤ 90°, in order of falling intensity)
2θ (°)  I (rel.)
38.53  100
40.32  38
62.26  31
32.69  29
68.50  24
19.85  18
22.95  17
82.59  13
58.34  11
81.45  11

Cell and atoms:
a b c (Å): 5.4792 5.4792 5.4792
angles (deg): 60.00 60.00 60.00
Fractional positions:
Na 0.0000 0.0000 0.0000
Ce 0.2500 0.2500 0.2500
Zn 0.1259 0.6247 0.6247
Zn 0.6247 0.1259 0.6247
Zn 0.6247 0.6247 0.1259
Zn 0.6247 0.6247 0.6247

***

Structure and simulated PXRD pattern of Sm4HgBi5 (a crystal structure in Alexandria, relaxed with PBE; Cu Ka).

Peak list (10 most intense, 10° ≤ 2θ ≤ 90°, in order of falling intensity)
2θ (°)  I (rel.)
30.75  100
29.46  48
32.02  32
36.21  30
33.45  30
40.13  28
54.71  18
52.24  17
33.02  14
23.00  13

Cell and atoms:
a b c (Å): 8.7029 8.7029 8.7029
angles (deg): 150.07 97.83 89.83
Fractional positions:
Sm 0.2086 0.5000 0.7086
Sm 0.2473 0.2473 0.0000
Sm 0.7527 0.7527 0.0000
Sm 0.7914 0.5000 0.2914
Hg 0.5000 0.5000 0.0000
Bi 0.0000 0.0000 0.0000
Bi 0.1590 0.8352 0.3238
Bi 0.4886 0.1648 0.3238
Bi 0.5114 0.8352 0.6762
Bi 0.8410 0.1648 0.6762

***

Structure and simulated PXRD pattern of Rb4Pu3SnTe8 (a crystal structure in Alexandria, relaxed with PBE; Cu Ka).

Peak list (10 most intense, 10° ≤ 2θ ≤ 90°, in order of falling intensity)
2θ (°)  I (rel.)
26.30  100
38.84  39
10.50  39
36.18  33
47.52  20
33.37  18
62.99  17
45.48  11
54.12  10
68.60  10

Cell and atoms:
a b c (Å): 9.9817 9.9817 9.9817
angles (deg): 55.36 55.36 55.36
Fractional positions:
Rb 0.0000 0.0000 0.0000
Rb 0.0000 0.5000 0.5000
Rb 0.5000 0.0000 0.5000
Rb 0.5000 0.5000 0.0000
Pu 0.0000 0.0000 0.5000
Pu 0.0000 0.5000 0.0000
Pu 0.5000 0.0000 0.0000
Sn 0.5000 0.5000 0.5000
Te 0.2243 0.7361 0.7361
Te 0.2327 0.2327 0.2327
Te 0.2639 0.2639 0.7757
Te 0.2639 0.7757 0.2639
Te 0.7361 0.2243 0.7361
Te 0.7361 0.7361 0.2243
Te 0.7673 0.7673 0.7673
Te 0.7757 0.2639 0.2639

***

Structure and simulated PXRD pattern of Sb2PbS4 (a crystal structure in Alexandria, relaxed with PBE; Cu Ka).

Peak list (10 most intense, 10° ≤ 2θ ≤ 90°, in order of falling intensity)
2θ (°)  I (rel.)
23.69  100
24.87  92
30.63  84
36.41  69
19.90  63
38.82  54
40.44  50
24.13  34
37.91  34
27.76  32

Cell and atoms:
a b c (Å): 8.0197 7.6569 8.9447
angles (deg): 57.14 53.32 69.54
Fractional positions:
Sb 0.2547 0.7453 0.4852
Sb 0.7352 0.7648 0.5047
Sb 0.7453 0.2547 0.5148
Sb 0.7648 0.7352 0.9953
Pb 0.1681 0.1681 0.8319
Pb 0.4181 0.4181 0.0819
S 0.0565 0.9899 0.6678
S 0.3682 0.4902 0.7524
S 0.4902 0.3682 0.3892
S 0.4976 0.8608 0.8818
S 0.5822 0.9642 0.1935
S 0.8608 0.4976 0.7598
S 0.9642 0.5822 0.2601
S 0.9899 0.0565 0.2858

***

Structure and simulated PXRD pattern of Pa2Ge2Sb (a crystal structure in Alexandria, relaxed with PBE; Cu Ka).

Peak list (10 most intense, 10° ≤ 2θ ≤ 90°, in order of falling intensity)
2θ (°)  I (rel.)
34.17  100
18.48  93
39.13  69
37.34  61
31.45  56
37.47  48
19.16  34
46.22  34
45.70  20
62.03  18

Cell and atoms:
a b c (Å): 10.9604 9.9177 5.8438
angles (deg): 83.87 64.12 32.01
Fractional positions:
Pa 0.0607 0.6893 0.0607
Pa 0.3107 0.9393 0.3107
Pa 0.6893 0.0607 0.6893
Pa 0.9393 0.3107 0.9393
Ge 0.0000 0.5000 0.5000
Ge 0.5000 0.0000 0.5000
Ge 0.5000 0.5000 0.0000
Ge 0.5000 0.5000 0.5000
Sb 0.3750 0.3750 0.3750
Sb 0.6250 0.6250 0.6250

***

Structure and simulated PXRD pattern of NpTiNi14 (a crystal structure in Alexandria, relaxed with PBE; Cu Ka).

Peak list (10 most intense, 10° ≤ 2θ ≤ 90°, in order of falling intensity)
2θ (°)  I (rel.)
43.42  100
49.96  33
89.26  23
74.81  18
51.77  15
21.32  15
17.17  11
73.35  10
30.67  7
41.13  6

Cell and atoms:
a b c (Å): 5.1630 5.1630 7.0626
angles (deg): 90.00 90.00 90.00
Fractional positions:
Np 0.0000 0.0000 0.0000
Ti 0.5000 0.5000 0.0000
Ni 0.0000 0.0000 0.5000
Ni 0.0000 0.5000 0.0000
Ni 0.0000 0.5000 0.5000
Ni 0.2528 0.2528 0.2578
Ni 0.2528 0.2528 0.7422
Ni 0.2528 0.7472 0.2578
Ni 0.2528 0.7472 0.7422
Ni 0.5000 0.0000 0.0000
Ni 0.5000 0.0000 0.5000
Ni 0.5000 0.5000 0.5000
Ni 0.7472 0.2528 0.2578
Ni 0.7472 0.2528 0.7422
Ni 0.7472 0.7472 0.2578
Ni 0.7472 0.7472 0.7422

***

Structure and simulated PXRD pattern of Tm2GaB2Rh5 (a crystal structure in Alexandria, relaxed with PBE; Cu Ka).

Peak list (10 most intense, 10° ≤ 2θ ≤ 90°, in order of falling intensity)
2θ (°)  I (rel.)
35.42  100
41.55  95
39.30  91
39.19  33
42.79  32
70.39  31
72.56  30
44.89  29
40.49  25
66.28  23

Cell and atoms:
a b c (Å): 9.4518 9.4518 3.1666
angles (deg): 90.00 90.00 90.00
Fractional positions:
Tm 0.1752 0.3248 0.0000
Tm 0.3248 0.8248 0.0000
Tm 0.6752 0.1752 0.0000
Tm 0.8248 0.6752 0.0000
Ga 0.0000 0.0000 0.0000
Ga 0.5000 0.5000 0.0000
B 0.1232 0.6232 0.0000
B 0.3768 0.1232 0.0000
B 0.6232 0.8768 0.0000
B 0.8768 0.3768 0.0000
Rh 0.0000 0.5000 0.5000
Rh 0.0699 0.7817 0.5000
Rh 0.2183 0.0699 0.5000
Rh 0.2817 0.5699 0.5000
Rh 0.4301 0.2817 0.5000
Rh 0.5000 0.0000 0.5000
Rh 0.5699 0.7183 0.5000
Rh 0.7183 0.4301 0.5000
Rh 0.7817 0.9301 0.5000
Rh 0.9301 0.2183 0.5000

***

Structure and simulated PXRD pattern of LuHPd (a crystal structure in Alexandria, relaxed with PBE; Cu Ka).

Peak list (10 most intense, 10° ≤ 2θ ≤ 90°, in order of falling intensity)
2θ (°)  I (rel.)
37.03  100
34.50  77
63.47  41
49.59  28
27.92  20
83.07  13
44.73  10
62.79  10
84.56  9
27.59  9

Cell and atoms:
a b c (Å): 3.6766 3.6766 6.4663
angles (deg): 90.00 90.00 90.00
Fractional positions:
Lu 0.0000 0.5000 0.1750
Lu 0.5000 0.0000 0.8250
H 0.0000 0.0000 0.0000
H 0.0000 0.0000 0.5000
Pd 0.0000 0.5000 0.6257
Pd 0.5000 0.0000 0.3743

***

Structure and simulated PXRD pattern of LaTlZn2Si (a crystal structure in Alexandria, relaxed with PBE; Cu Ka).

Peak list (10 most intense, 10° ≤ 2θ ≤ 90°, in order of falling intensity)
2θ (°)  I (rel.)
22.24  100
30.35  64
37.95  52
45.38  42
26.96  37
21.34  29
32.91  26
43.46  24
55.58  23
81.14  15

Cell and atoms:
a b c (Å): 5.8892 5.8892 5.4427
angles (deg): 90.00 90.00 90.00
Fractional positions:
La 0.0000 0.0000 0.0000
Tl 0.5000 0.5000 0.5000
Zn 0.0000 0.5000 0.0000
Zn 0.5000 0.0000 0.0000
Si 0.0000 0.0000 0.5000

***

Structure and simulated PXRD pattern of Ac5Sn2H2 (a crystal structure in Alexandria, relaxed with PBE; Cu Ka).

Peak list (10 most intense, 10° ≤ 2θ ≤ 90°, in order of falling intensity)
2θ (°)  I (rel.)
30.77  100
28.79  82
27.42  29
41.70  26
26.37  24
54.29  16
53.49  15
43.58  15
54.70  15
52.53  11

Cell and atoms:
a b c (Å): 7.2715 7.2715 7.3376
angles (deg): 102.57 102.57 47.11
Fractional positions:
Ac 0.0000 0.0000 0.0000
Ac 0.1437 0.1437 0.5385
Ac 0.3322 0.3322 0.1294
Ac 0.6678 0.6678 0.8706
Ac 0.8563 0.8563 0.4615
Sn 0.4052 0.4052 0.7023
Sn 0.5948 0.5948 0.2977
H 0.1636 0.1636 0.8841
H 0.8364 0.8364 0.1159

***

Structure and simulated PXRD pattern of Ac5Ge2HIr (a crystal structure in Alexandria, relaxed with PBE; Cu Ka).

Peak list (10 most intense, 10° ≤ 2θ ≤ 90°, in order of falling intensity)
2θ (°)  I (rel.)
28.80  100
33.92  42
29.44  41
39.63  29
48.35  22
24.32  21
50.13  20
27.86  18
28.01  18
48.65  17

Cell and atoms:
a b c (Å): 9.6313 9.6313 13.0485
angles (deg): 90.00 90.00 152.68
Fractional positions:
Ac 0.0045 0.9955 0.5000
Ac 0.1466 0.8534 0.7674
Ac 0.1956 0.8044 0.1187
Ac 0.2000 0.8000 0.4244
Ac 0.4595 0.5405 0.7349
Ac 0.5405 0.4595 0.2349
Ac 0.8000 0.2000 0.9244
Ac 0.8044 0.1956 0.6187
Ac 0.8534 0.1466 0.2674
Ac 0.9955 0.0045 0.0000
Ge 0.3804 0.6196 0.0866
Ge 0.3837 0.6163 0.4560
Ge 0.6163 0.3837 0.9560
Ge 0.6196 0.3804 0.5866
H 0.0633 0.9367 0.1579
H 0.9367 0.0633 0.6579
Ir 0.3029 0.6971 0.7723
Ir 0.6971 0.3029 0.2723